1.
The following is a calculated powder diffractogram of La2Sm2Y3. It was derived from a crystal structure in Alexandria, relaxed with PBE, using Cu Kα (weighted mean of Kα1 and Kα2).
Kinematic intensities with the Lorentz-polarization factor, no thermal factor.

```
data_La2Sm2Y3
_cell_length_a 6.9202
_cell_length_b 12.3995
_cell_length_c 5.6954
_cell_angle_alpha 90.00
_cell_angle_beta 90.00
_cell_angle_gamma 90.00
_space_group_name_H-M_alt 'P b a m'
_space_group_IT_number 55
loop_
_space_group_symop_operation_xyz
'x,y,z'
'-x,-y,-z'
'-x,-y,z'
'x,y,-z'
'x+1/2,-y+1/2,-z'
'-x+1/2,y+1/2,z'
'-x+1/2,y+1/2,-z'
'x+1/2,-y+1/2,z'
loop_
_atom_site_label
_atom_site_fract_x
_atom_site_fract_y
_atom_site_fract_z
_atom_site_occupancy
La1 0.0897 0.2091 0.0000 1
Sm1 0.0424 0.6444 0.5000 1
Y1 0.0000 0.0000 0.5000 1
Y2 0.2215 0.4810 0.0000 1
```

Largest 8 diffraction maxima, sorted by position, 2θ from 5° to 70°:
2θ (°)  I/Imax  index
29.65  100  1 3 1
30.22  24  2 0 1
31.09  36  2 1 1
31.41  47  0 0 2
32.90  26  0 4 1
33.58  19  2 2 1
54.86  21  1 3 3
55.90  11  3 3 2

---

2.
The following is a calculated powder diffractogram of Rb2SeO. It was derived from a crystal structure in Alexandria, relaxed with PBE, using Cu Kα (weighted mean of Kα1 and Kα2).
Kinematic intensities with the Lorentz-polarization factor, no thermal factor.

```
data_Rb2SeO
_cell_length_a 11.0184
_cell_length_b 11.0184
_cell_length_c 4.3757
_cell_angle_alpha 90.00
_cell_angle_beta 90.00
_cell_angle_gamma 90.00
_space_group_name_H-M_alt 'I -4 2 d'
_space_group_IT_number 122
_space_group_name_Hall 'I -4 2bw'
loop_
_atom_site_label
_atom_site_fract_x
_atom_site_fract_y
_atom_site_fract_z
_atom_site_occupancy
Rb1 0.0484 0.2500 0.1250 1
Se1 0.0000 0.0000 0.5000 1
O1 0.0000 0.0000 0.0000 1
```

Largest 8 diffraction maxima, sorted by position, 2θ from 5° to 70°:
2θ (°)  I/Imax  index
16.09  33  2 0 0
25.57  28  3 1 0
27.26  100  2 1 1
32.50  39  4 0 0
35.84  31  3 2 1
36.47  23  4 2 0
54.86  28  3 3 2
60.18  21  5 1 2

---

3.
The following is a calculated powder diffractogram of K2Np2I2O5. It was derived from a crystal structure in Alexandria, relaxed with PBE, using Cu Kα (weighted mean of Kα1 and Kα2).
Kinematic intensities with the Lorentz-polarization factor, no thermal factor.

```
data_K2Np2I2O5
_cell_length_a 4.2944
_cell_length_b 4.2944
_cell_length_c 28.5784
_cell_angle_alpha 90.00
_cell_angle_beta 90.00
_cell_angle_gamma 90.00
_space_group_name_H-M_alt 'I 4/m m m'
_space_group_IT_number 139
_space_group_name_Hall '-I 4 2'
loop_
_atom_site_label
_atom_site_fract_x
_atom_site_fract_y
_atom_site_fract_z
_atom_site_occupancy
K1 0.0000 0.0000 0.1457 1
Np1 0.0000 0.0000 0.4279 1
I1 0.0000 0.0000 0.3117 1
O1 0.0000 0.0000 0.5000 1
O2 0.0000 0.5000 0.0791 1
```

Largest 8 diffraction maxima, sorted by position, 2θ from 5° to 70°:
2θ (°)  I/Imax  index
6.19  28  0 0 2
20.92  100  1 0 1
24.93  31  0 0 8
29.41  53  1 1 0
30.20  72  1 0 7
38.93  29  1 1 8
42.08  28  2 0 0
52.67  31  2 1 7

---

4.
The following is a calculated powder diffractogram of Sr3Ga8Cu3. It was derived from a crystal structure in Alexandria, relaxed with PBE, using Cu Kα (weighted mean of Kα1 and Kα2).
Kinematic intensities with the Lorentz-polarization factor, no thermal factor.

```
data_Sr3Ga8Cu3
_cell_length_a 16.2464
_cell_length_b 4.4466
_cell_length_c 9.7514
_cell_angle_alpha 90.00
_cell_angle_beta 126.52
_cell_angle_gamma 90.00
_space_group_name_H-M_alt 'C 1 2/m 1'
_space_group_IT_number 12
loop_
_space_group_symop_operation_xyz
'x,y,z'
'-x,-y,-z'
'-x,y,-z'
'x,-y,z'
'x+1/2,y+1/2,z'
'-x+1/2,-y+1/2,-z'
'-x+1/2,y+1/2,-z'
'x+1/2,-y+1/2,z'
loop_
_atom_site_label
_atom_site_fract_x
_atom_site_fract_y
_atom_site_fract_z
_atom_site_occupancy
Sr1 0.0000 0.0000 0.0000 1
Sr2 0.2019 0.5000 0.7028 1
Ga1 0.0050 0.5000 0.6960 1
Ga2 0.1376 0.0000 0.4221 1
Ga3 0.1464 0.0000 0.8718 1
Ga4 0.1578 0.5000 0.2858 1
Cu1 0.0000 0.0000 0.5000 1
Cu2 0.1559 0.5000 0.0120 1
```

Largest 8 diffraction maxima, sorted by position, 2θ from 5° to 70°:
2θ (°)  I/Imax  index
34.14  100  1 1 2
34.28  69  5 1 -2
35.34  30  5 1 -1
36.86  22  1 1 -3
36.99  22  5 1 -3
40.58  57  0 2 0
41.50  29  6 0 0
42.86  25  3 1 -4

---

5.
The following is a calculated powder diffractogram of PmYGa2Ni2. It was derived from a crystal structure in Alexandria, relaxed with PBE, using Cu Kα (weighted mean of Kα1 and Kα2).
Kinematic intensities with the Lorentz-polarization factor, no thermal factor.

```
data_PmYGa2Ni2
_cell_length_a 4.3082
_cell_length_b 4.3082
_cell_length_c 7.2073
_cell_angle_alpha 90.00
_cell_angle_beta 90.00
_cell_angle_gamma 120.00
_space_group_name_H-M_alt 'P -3 m 1'
_space_group_IT_number 164
_space_group_name_Hall '-P 3 2"'
loop_
_atom_site_label
_atom_site_fract_x
_atom_site_fract_y
_atom_site_fract_z
_atom_site_occupancy
Pm1 0.0000 0.0000 0.0000 1
Y1 0.0000 0.0000 0.5000 1
Ga1 0.3333 0.6667 0.2619 1
Ni1 0.3333 0.6667 0.7365 1
```

Largest 8 diffraction maxima, sorted by position, 2θ from 5° to 70°:
2θ (°)  I/Imax  index
23.85  9  1 0 0
26.91  6  0 1 1
34.61  100  1 0 2
41.94  55  1 1 0
50.66  10  0 0 4
55.46  25  0 2 2
57.46  2  1 1 3
67.81  24  1 1 4

---

6.
The following is a calculated powder diffractogram of KAlZn2O4. It was derived from a crystal structure in Alexandria, relaxed with PBE, using Cu Kα (weighted mean of Kα1 and Kα2).
Kinematic intensities with the Lorentz-polarization factor, no thermal factor.

```
data_KAlZn2O4
_cell_length_a 5.1904
_cell_length_b 5.1904
_cell_length_c 7.7204
_cell_angle_alpha 90.00
_cell_angle_beta 90.00
_cell_angle_gamma 90.00
_space_group_name_H-M_alt 'I -4 2 m'
_space_group_IT_number 121
_space_group_name_Hall 'I -4 2'
loop_
_atom_site_label
_atom_site_fract_x
_atom_site_fract_y
_atom_site_fract_z
_atom_site_occupancy
K1 0.0000 0.0000 0.0000 1
Al1 0.0000 0.0000 0.5000 1
Zn1 0.0000 0.5000 0.2500 1
O1 0.1919 0.1919 0.3575 1
```

Largest 8 diffraction maxima, sorted by position, 2θ from 5° to 70°:
2θ (°)  I/Imax  index
23.04  11  0 0 2
24.25  10  1 1 0
33.70  100  1 1 2
34.56  26  2 0 0
41.95  5  2 0 2
49.68  20  2 2 0
59.71  23  2 0 4
61.38  32  3 1 2

---

7.
The following is a calculated powder diffractogram of Cs3Tl4Ga2. It was derived from a crystal structure in Alexandria, relaxed with PBE, using Cu Kα (weighted mean of Kα1 and Kα2).
Kinematic intensities with the Lorentz-polarization factor, no thermal factor.

```
data_Cs3Tl4Ga2
_cell_length_a 18.8016
_cell_length_b 10.6205
_cell_length_c 7.9537
_cell_angle_alpha 90.00
_cell_angle_beta 112.03
_cell_angle_gamma 90.00
_space_group_name_H-M_alt 'C 1 2/c 1'
_space_group_IT_number 15
loop_
_space_group_symop_operation_xyz
'x,y,z'
'-x,-y,-z'
'-x,y,-z+1/2'
'x,-y,z+1/2'
'x+1/2,y+1/2,z'
'-x+1/2,-y+1/2,-z'
'-x+1/2,y+1/2,-z+1/2'
'x+1/2,-y+1/2,z+1/2'
loop_
_atom_site_label
_atom_site_fract_x
_atom_site_fract_y
_atom_site_fract_z
_atom_site_occupancy
Cs1 0.0000 0.0092 0.2500 1
Cs2 0.1039 0.3854 0.1001 1
Tl1 0.1353 0.2293 0.6329 1
Tl2 0.2184 0.1035 0.0525 1
Ga1 0.2333 0.1377 0.4252 1
```

Largest 8 diffraction maxima, sorted by position, 2θ from 5° to 70°:
2θ (°)  I/Imax  index
10.15  88  2 0 0
24.71  44  3 1 -2
25.69  75  4 2 -1
26.46  43  4 2 0
26.92  56  5 1 0
28.06  35  2 2 -2
29.26  97  1 3 1
29.65  100  2 0 2

---

8.
The following is a calculated powder diffractogram of SrCd5Pd2. It was derived from a crystal structure in Alexandria, relaxed with PBE, using Cu Kα (weighted mean of Kα1 and Kα2).
Kinematic intensities with the Lorentz-polarization factor, no thermal factor.

```
data_SrCd5Pd2
_cell_length_a 4.1547
_cell_length_b 8.5019
_cell_length_c 10.5636
_cell_angle_alpha 90.00
_cell_angle_beta 90.00
_cell_angle_gamma 90.00
_space_group_name_H-M_alt 'I m m m'
_space_group_IT_number 71
_space_group_name_Hall '-I 2 2'
loop_
_atom_site_label
_atom_site_fract_x
_atom_site_fract_y
_atom_site_fract_z
_atom_site_occupancy
Sr1 0.0000 0.0000 0.0000 1
Cd1 0.0000 0.1913 0.3471 1
Cd2 0.0000 0.5000 0.0000 1
Pd1 0.0000 0.5000 0.2611 1
```

Largest 8 diffraction maxima, sorted by position, 2θ from 5° to 70°:
2θ (°)  I/Imax  index
31.27  73  1 2 1
33.36  100  1 0 3
38.45  60  1 3 0
40.20  56  0 2 4
40.88  26  0 3 3
41.90  29  1 1 4
43.57  38  2 0 0
60.77  32  2 2 4

---

9.
The following is a calculated powder diffractogram of Na2BiSbSe4. It was derived from a crystal structure in Alexandria, relaxed with PBE, using Cu Kα (weighted mean of Kα1 and Kα2).
Kinematic intensities with the Lorentz-polarization factor, no thermal factor.

```
data_Na2BiSbSe4
_cell_length_a 5.8694
_cell_length_b 5.8694
_cell_length_c 12.2768
_cell_angle_alpha 90.00
_cell_angle_beta 90.00
_cell_angle_gamma 90.00
_space_group_name_H-M_alt 'I -4 m 2'
_space_group_IT_number 119
_space_group_name_Hall 'I -4 -2'
loop_
_atom_site_label
_atom_site_fract_x
_atom_site_fract_y
_atom_site_fract_z
_atom_site_occupancy
Na1 0.0000 0.0000 0.0000 1
Na2 0.0000 0.5000 0.2500 1
Bi1 0.0000 0.5000 0.7500 1
Sb1 0.0000 0.0000 0.5000 1
Se1 0.0000 0.0000 0.2648 1
Se2 0.0000 0.5000 0.5074 1
```

Largest 8 diffraction maxima, sorted by position, 2θ from 5° to 70°:
2θ (°)  I/Imax  index
16.74  82  1 0 1
26.55  16  1 0 3
29.09  54  0 0 4
30.46  100  2 0 0
34.96  28  2 1 1
42.62  76  2 0 4
43.62  37  2 2 0
53.29  39  2 2 4

---

10.
The following is a calculated powder diffractogram of Sm2BS5. It was derived from a crystal structure in Alexandria, relaxed with PBE, using Cu Kα (weighted mean of Kα1 and Kα2).
Kinematic intensities with the Lorentz-polarization factor, no thermal factor.

```
data_Sm2BS5
_cell_length_a 7.7835
_cell_length_b 9.1752
_cell_length_c 5.5743
_cell_angle_alpha 90.00
_cell_angle_beta 124.78
_cell_angle_gamma 90.00
_space_group_name_H-M_alt 'C 1 m 1'
_space_group_IT_number 8
loop_
_space_group_symop_operation_xyz
'x,y,z'
'x,-y,z'
'x+1/2,y+1/2,z'
'x+1/2,-y+1/2,z'
loop_
_atom_site_label
_atom_site_fract_x
_atom_site_fract_y
_atom_site_fract_z
_atom_site_occupancy
Sm1 0.0000 0.2284 0.0000 1
B1 0.4828 0.0000 0.3744 1
S1 0.2861 0.5000 0.5623 1
S2 0.3008 0.0000 0.9482 1
S3 0.3020 0.5000 0.0814 1
S4 0.4200 0.1859 0.4596 1
```

Largest 8 diffraction maxima, sorted by position, 2θ from 5° to 70°:
2θ (°)  I/Imax  index
19.37  100  0 0 1
27.52  36  0 2 1
27.91  29  2 0 0
30.33  49  2 2 -1
34.19  64  2 2 0
38.22  49  2 2 -2
39.32  44  0 0 2
44.19  31  0 4 1

---

11.
The following is a calculated powder diffractogram of Ba5Sr2Ac. It was derived from a crystal structure in Alexandria, relaxed with PBE, using Cu Kα (weighted mean of Kα1 and Kα2).
Kinematic intensities with the Lorentz-polarization factor, no thermal factor.

```
data_Ba5Sr2Ac
_cell_length_a 8.4058
_cell_length_b 16.3407
_cell_length_c 6.7220
_cell_angle_alpha 90.00
_cell_angle_beta 90.00
_cell_angle_gamma 90.00
_space_group_name_H-M_alt 'P b a m'
_space_group_IT_number 55
loop_
_space_group_symop_operation_xyz
'x,y,z'
'-x,-y,-z'
'-x,-y,z'
'x,y,-z'
'x+1/2,-y+1/2,-z'
'-x+1/2,y+1/2,z'
'-x+1/2,y+1/2,-z'
'x+1/2,-y+1/2,z'
loop_
_atom_site_label
_atom_site_fract_x
_atom_site_fract_y
_atom_site_fract_z
_atom_site_occupancy
Ba1 0.0000 0.0000 0.0000 1
Ba2 0.1220 0.2543 0.0000 1
Ba3 0.1671 0.6185 0.5000 1
Sr1 0.1763 0.8791 0.5000 1
Ac1 0.0000 0.5000 0.0000 1
```

Largest 8 diffraction maxima, sorted by position, 2θ from 5° to 70°:
2θ (°)  I/Imax  index
24.99  23  2 0 1
25.54  100  0 4 1
26.52  31  0 0 2
26.79  16  2 3 0
27.30  13  2 2 1
30.52  14  2 4 0
44.31  14  0 8 0
46.23  21  0 4 3

---

Q: What is the formula in the second record?
A: Rb2SeO